Starting from the GGA-PBE geometry in Alexandria, the X-ray diffraction stick pattern of Rb2TmBr6 was simulated for CuKα.
Peak positions follow from Bragg's law for the DFT cell and can differ from measured ones.

Largest 10 diffraction maxima, sorted by position, 10 to 80 degrees two-theta:
2θ (°), I (rel.)
11.62, 84.0
20.20, 24.1
22.99, 21.7
28.41, 86.9
30.79, 65.0
35.36, 66.4
37.10, 100.0
40.16, 30.0
54.57, 37.5
56.52, 24.1

Cell and atoms:
```
Rb2TmBr6
1.0
4.490 0.000 0.000
0.000 7.624 4.392
0.000 -7.624 4.392
Rb Tm Br
2 1 6
Cartesian
0.000 -5.079 4.392
0.000 5.079 4.392
2.245 0.000 4.402
0.000 -1.728 3.399
0.000 1.728 3.399
0.000 0.000 6.396
2.245 0.000 1.389
2.245 -2.617 5.899
2.245 2.617 5.899
```